# 1
Ca4SbAu: theoretical X-ray powder pattern (λ = 1.5418 Å (Cu Kα)), based on a DFT-relaxed cell (PBE, Alexandria).
No peak broadening, texture or thermal motion is included.

The 10 most intense peaks (2θ from 5° to 70°), low angle first:
- 2θ = 9.99°, d 8.858, I 30
- 2θ = 20.04°, d 4.431, I 35
- 2θ = 21.44°, d 4.145, I 86
- 2θ = 23.26°, d 3.824, I 36
- 2θ = 24.99°, d 3.564, I 56
- 2θ = 31.95°, d 2.801, I 60
- 2θ = 32.26°, d 2.775, I 100
- 2θ = 34.22°, d 2.620, I 31
- 2θ = 34.75°, d 2.581, I 45
- 2θ = 36.02°, d 2.494, I 40

Cell and atoms:
Unit cell a=5.740 b=7.127 c=8.932 alpha=90.00 beta=97.37 gamma=90.00
Element x y z (fractional)
Ca 0.155 0.250 0.068
Ca 0.202 0.750 0.370
Ca 0.333 0.508 0.748
Ca 0.333 0.992 0.748
Ca 0.667 0.008 0.252
Ca 0.667 0.492 0.252
Ca 0.798 0.250 0.630
Ca 0.845 0.750 0.932
Sb 0.247 0.250 0.432
Sb 0.753 0.750 0.568
Au 0.353 0.750 0.045
Au 0.647 0.250 0.955

=====

# 2
BaBi3O8: theoretical X-ray powder pattern (λ = 1.5418 Å (Cu Kα)), based on a DFT-relaxed cell (PBE, Alexandria).
No peak broadening, texture or thermal motion is included.

The 10 most intense peaks (2θ from 5° to 70°), low angle first:
- 2θ = 20.72°, d 4.288, I 100
- 2θ = 28.62°, d 3.118, I 85
- 2θ = 30.28°, d 2.952, I 77
- 2θ = 36.97°, d 2.431, I 20
- 2θ = 38.57°, d 2.334, I 20
- 2θ = 42.15°, d 2.144, I 35
- 2θ = 48.51°, d 1.877, I 22
- 2θ = 52.77°, d 1.735, I 36
- 2θ = 53.79°, d 1.704, I 20
- 2θ = 56.18°, d 1.637, I 31

Cell and atoms:
Unit cell a=5.904 b=5.904 c=7.870 alpha=90.00 beta=90.00 gamma=120.00
Element x y z (fractional)
Ba 0.000 0.000 0.000
Bi 0.000 0.000 0.500
Bi 0.333 0.667 0.747
Bi 0.667 0.333 0.253
O 0.032 0.738 0.680
O 0.262 0.294 0.680
O 0.294 0.032 0.320
O 0.333 0.667 0.001
O 0.667 0.333 0.999
O 0.706 0.968 0.680
O 0.738 0.706 0.320
O 0.968 0.262 0.320

=====

# 3
Sc2MnB10: theoretical X-ray powder pattern (λ = 1.5418 Å (Cu Kα)), based on a DFT-relaxed cell (PBE, Alexandria).
No peak broadening, texture or thermal motion is included.

The 10 most intense peaks (2θ from 5° to 70°), low angle first:
- 2θ = 16.02°, d 5.532, I 58
- 2θ = 17.83°, d 4.976, I 78
- 2θ = 28.08°, d 3.178, I 28
- 2θ = 31.44°, d 2.845, I 100
- 2θ = 39.00°, d 2.309, I 77
- 2θ = 39.20°, d 2.298, I 78
- 2θ = 43.85°, d 2.065, I 28
- 2θ = 46.26°, d 1.963, I 46
- 2θ = 49.91°, d 1.827, I 25
- 2θ = 65.63°, d 1.423, I 23

Cell and atoms:
Unit cell a=5.571 b=11.063 c=4.130 alpha=90.00 beta=90.00 gamma=90.00
Element x y z (fractional)
Sc 0.244 0.113 0.000
Sc 0.256 0.613 0.000
Sc 0.744 0.387 0.000
Sc 0.756 0.887 0.000
Mn 0.000 0.000 0.500
Mn 0.500 0.500 0.500
B 0.030 0.814 0.500
B 0.127 0.461 0.500
B 0.157 0.301 0.500
B 0.207 0.885 0.200
B 0.207 0.885 0.800
B 0.293 0.385 0.200
B 0.293 0.385 0.800
B 0.343 0.801 0.500
B 0.373 0.961 0.500
B 0.470 0.314 0.500
B 0.530 0.686 0.500
B 0.627 0.039 0.500
B 0.657 0.199 0.500
B 0.707 0.615 0.200
B 0.707 0.615 0.800
B 0.793 0.115 0.200
B 0.793 0.115 0.800
B 0.843 0.699 0.500
B 0.873 0.539 0.500
B 0.970 0.186 0.500

=====

Please write out number 3 again, unchanged.
Sc2MnB10: theoretical X-ray powder pattern (λ = 1.5418 Å (Cu Kα)), based on a DFT-relaxed cell (PBE, Alexandria).
No peak broadening, texture or thermal motion is included.

The 10 most intense peaks (2θ from 5° to 70°), low angle first:
- 2θ = 16.02°, d 5.532, I 58
- 2θ = 17.83°, d 4.976, I 78
- 2θ = 28.08°, d 3.178, I 28
- 2θ = 31.44°, d 2.845, I 100
- 2θ = 39.00°, d 2.309, I 77
- 2θ = 39.20°, d 2.298, I 78
- 2θ = 43.85°, d 2.065, I 28
- 2θ = 46.26°, d 1.963, I 46
- 2θ = 49.91°, d 1.827, I 25
- 2θ = 65.63°, d 1.423, I 23

Cell and atoms:
Unit cell a=5.571 b=11.063 c=4.130 alpha=90.00 beta=90.00 gamma=90.00
Element x y z (fractional)
Sc 0.244 0.113 0.000
Sc 0.256 0.613 0.000
Sc 0.744 0.387 0.000
Sc 0.756 0.887 0.000
Mn 0.000 0.000 0.500
Mn 0.500 0.500 0.500
B 0.030 0.814 0.500
B 0.127 0.461 0.500
B 0.157 0.301 0.500
B 0.207 0.885 0.200
B 0.207 0.885 0.800
B 0.293 0.385 0.200
B 0.293 0.385 0.800
B 0.343 0.801 0.500
B 0.373 0.961 0.500
B 0.470 0.314 0.500
B 0.530 0.686 0.500
B 0.627 0.039 0.500
B 0.657 0.199 0.500
B 0.707 0.615 0.200
B 0.707 0.615 0.800
B 0.793 0.115 0.200
B 0.793 0.115 0.800
B 0.843 0.699 0.500
B 0.873 0.539 0.500
B 0.970 0.186 0.500